Record 1
Calculated PXRD pattern
Compound: Pr4Dy5Ho4
Radiation: copper Kα
Structure: a cell relaxed with GGA-PBE
Neutral-atom scattering factors, no anomalous dispersion.

Top 10 peaks for 10° ≤ 2θ ≤ 90°, low angle first:
| d/Å | 2θ/deg | intensity |
| --- | --- | --- |
| 2.932 | 30.5 | 100 |
| 2.542 | 35.3 | 34 |
| 2.533 | 35.4 | 17 |
| 1.797 | 50.8 | 12 |
| 1.794 | 50.9 | 24 |
| 1.532 | 60.4 | 29 |
| 1.528 | 60.6 | 14 |
| 1.466 | 63.5 | 12 |
| 1.164 | 82.9 | 12 |
| 1.136 | 85.4 | 11 |

Atomic structure:
```
Pr4Dy5Ho4
1.0
-6.481 6.481 2.533
6.481 -6.481 2.533
6.481 6.481 -2.533
Pr Dy Ho
4 5 4
Direct
0.079 0.381 0.460
0.381 0.921 0.303
0.619 0.079 0.697
0.921 0.619 0.540
0.000 0.000 0.000
0.311 0.539 0.851
0.461 0.311 0.772
0.539 0.689 0.228
0.689 0.461 0.149
0.153 0.771 0.924
0.229 0.153 0.382
0.771 0.847 0.618
0.847 0.229 0.076
```



Record 2
Calculated PXRD pattern
Compound: SmTl2Cl5
Radiation: copper Kα
Structure: a cell relaxed with GGA-PBE
Neutral-atom scattering factors, no anomalous dispersion.

Top 10 peaks for 10° ≤ 2θ ≤ 90°, low angle first:
| d/Å | 2θ/deg | intensity |
| --- | --- | --- |
| 4.134 | 21.5 | 43 |
| 3.875 | 23.0 | 100 |
| 3.713 | 24.0 | 67 |
| 3.646 | 24.4 | 45 |
| 2.931 | 30.5 | 47 |
| 2.902 | 30.8 | 52 |
| 2.734 | 32.8 | 40 |
| 2.191 | 41.2 | 44 |
| 2.176 | 41.5 | 37 |
| 1.906 | 47.7 | 30 |

Atomic structure:
```
SmTl2Cl5
1.0
13.160 0.000 0.000
0.000 8.759 0.000
0.000 0.000 8.268
Sm Tl Cl
4 8 20
Direct
0.005 0.250 0.073
0.495 0.750 0.573
0.505 0.250 0.427
0.995 0.750 0.927
0.172 0.004 0.553
0.172 0.496 0.553
0.328 0.504 0.053
0.328 0.996 0.053
0.672 0.004 0.947
0.672 0.496 0.947
0.828 0.504 0.447
0.828 0.996 0.447
0.010 0.250 0.409
0.072 0.544 0.161
0.072 0.956 0.161
0.178 0.250 0.887
0.198 0.750 0.844
0.302 0.250 0.344
0.322 0.750 0.387
0.428 0.044 0.661
0.428 0.456 0.661
0.490 0.750 0.909
0.510 0.250 0.091
0.572 0.544 0.339
0.572 0.956 0.339
0.678 0.250 0.613
0.698 0.750 0.656
0.802 0.250 0.156
0.822 0.750 0.113
0.928 0.044 0.839
0.928 0.456 0.839
0.990 0.750 0.591
```



Record 3
Calculated PXRD pattern
Compound: In7Sn4Hg
Radiation: copper Kα
Structure: a cell relaxed with GGA-PBE
Neutral-atom scattering factors, no anomalous dispersion.

Top 10 peaks for 10° ≤ 2θ ≤ 90°, low angle first:
| d/Å | 2θ/deg | intensity |
| --- | --- | --- |
| 3.080 | 29.0 | 65 |
| 2.815 | 31.8 | 51 |
| 2.790 | 32.1 | 100 |
| 2.078 | 43.6 | 43 |
| 2.068 | 43.8 | 85 |
| 1.620 | 56.8 | 19 |
| 1.434 | 65.0 | 26 |
| 1.424 | 65.6 | 13 |
| 1.348 | 69.7 | 21 |
| 1.116 | 87.4 | 12 |

Atomic structure:
```
In7Sn4Hg
1.0
6.424 -3.080 0.000
6.424 3.080 0.000
-4.802 0.000 8.445
In Sn Hg
7 4 1
Direct
0.000 0.000 0.000
0.249 0.249 0.997
0.251 0.251 0.668
0.500 0.500 0.332
0.500 0.500 0.668
0.749 0.749 0.332
0.751 0.751 0.003
0.001 0.001 0.665
0.246 0.246 0.333
0.754 0.754 0.667
0.999 0.999 0.335
0.500 0.500 0.000
```



Record 4
Calculated PXRD pattern
Compound: NdSiGe
Radiation: copper Kα
Structure: a cell relaxed with GGA-PBE
Neutral-atom scattering factors, no anomalous dispersion.

Top 10 peaks for 10° ≤ 2θ ≤ 90°, low angle first:
| d/Å | 2θ/deg | intensity |
| --- | --- | --- |
| 3.934 | 22.6 | 16 |
| 3.610 | 24.7 | 19 |
| 2.858 | 31.3 | 46 |
| 2.726 | 32.9 | 100 |
| 2.204 | 41.0 | 38 |
| 2.079 | 43.5 | 17 |
| 2.032 | 44.6 | 16 |
| 1.778 | 51.4 | 16 |
| 1.656 | 55.5 | 18 |
| 1.512 | 61.3 | 23 |

Atomic structure:
```
NdSiGe
1.0
4.063 0.000 0.000
0.000 4.158 0.000
0.000 0.000 7.868
Nd Si Ge
2 2 2
Direct
0.250 0.000 0.234
0.750 0.000 0.766
0.250 0.500 0.922
0.750 0.500 0.078
0.250 0.500 0.600
0.750 0.500 0.400
```



Record 5
Calculated PXRD pattern
Compound: LaPrNdCd
Radiation: copper Kα
Structure: a cell relaxed with GGA-PBE
Neutral-atom scattering factors, no anomalous dispersion.

Top 10 peaks for 10° ≤ 2θ ≤ 90°, low angle first:
| d/Å | 2θ/deg | intensity |
| --- | --- | --- |
| 2.921 | 30.6 | 100 |
| 2.681 | 33.4 | 42 |
| 2.290 | 39.3 | 10 |
| 1.896 | 48.0 | 15 |
| 1.741 | 52.6 | 18 |
| 1.590 | 58.0 | 32 |
| 1.460 | 63.7 | 10 |
| 1.416 | 66.0 | 6 |
| 1.218 | 78.5 | 7 |
| 1.199 | 80.0 | 7 |

Atomic structure:
```
LaPrNdCd
1.0
3.791 0.000 0.000
0.000 3.791 0.000
0.000 0.000 9.161
La Pr Nd Cd
1 1 1 1
Direct
0.000 0.000 0.000
0.500 0.500 0.280
0.000 0.000 0.554
0.500 0.500 0.769
```



Record 6
Calculated PXRD pattern
Compound: SmAl6Ag12
Radiation: copper Kα
Structure: a cell relaxed with GGA-PBE
Neutral-atom scattering factors, no anomalous dispersion.

Top 10 peaks for 10° ≤ 2θ ≤ 90°, low angle first:
| d/Å | 2θ/deg | intensity |
| --- | --- | --- |
| 4.105 | 21.7 | 19 |
| 3.425 | 26.0 | 15 |
| 2.715 | 33.0 | 100 |
| 2.666 | 33.6 | 55 |
| 2.404 | 37.4 | 14 |
| 2.279 | 39.5 | 17 |
| 2.250 | 40.1 | 30 |
| 2.086 | 43.4 | 17 |
| 2.052 | 44.1 | 18 |
| 1.868 | 48.8 | 38 |

Atomic structure:
```
SmAl6Ag12
1.0
5.932 3.425 2.985
-5.932 3.425 2.985
0.000 -6.850 2.985
Sm Al Ag
1 6 12
Direct
0.000 0.000 0.000
0.278 0.278 0.701
0.278 0.701 0.278
0.299 0.722 0.722
0.701 0.278 0.278
0.722 0.299 0.722
0.722 0.722 0.299
0.117 0.500 0.883
0.117 0.883 0.500
0.139 0.388 0.388
0.388 0.139 0.388
0.388 0.388 0.139
0.500 0.117 0.883
0.500 0.883 0.117
0.612 0.612 0.861
0.612 0.861 0.612
0.861 0.612 0.612
0.883 0.117 0.500
0.883 0.500 0.117
```